Theoretical powder diffraction line list of KAs2Ir2 for Cu Kα, 1.54184 Å, from a crystal structure in the Materials Project, relaxed with PBE.
Kinematic intensities with the Lorentz-polarization factor, no thermal factor.

Unit cell a=7.313 b=7.313 c=7.313 alpha=147.72 beta=147.72 gamma=46.30
Fractional coordinates of all 5 atoms:
1 K 0.000 0.000 0.000
2 As 0.355 0.355 0.000
3 As 0.645 0.645 0.000
4 Ir 0.250 0.750 0.500
5 Ir 0.750 0.250 0.500

Largest 6 diffraction maxima, low angle first, 2θ = 15–90°:
2θ = 29.66°, I 34; 2θ = 33.91°, I 100; 2θ = 41.32°, I 91; 2θ = 44.57°, I 53; 2θ = 46.68°, I 41; 2θ = 51.71°, I 58


Theoretical powder diffraction line list of LaAs2Ir2 for Cu Kα, 1.54184 Å, from a crystal structure in the Materials Project, relaxed with PBE.
Kinematic intensities with the Lorentz-polarization factor, no thermal factor.

Unit cell a=4.333 b=4.333 c=10.151 alpha=90.00 beta=90.00 gamma=90.00
Fractional coordinates of all 10 atoms:
1 La 0.250 0.250 0.245
2 La 0.750 0.750 0.755
3 As 0.250 0.250 0.638
4 As 0.250 0.750 0.000
5 As 0.750 0.250 0.000
6 As 0.750 0.750 0.362
7 Ir 0.250 0.250 0.881
8 Ir 0.250 0.750 0.500
9 Ir 0.750 0.250 0.500
10 Ir 0.750 0.750 0.119

Largest 6 diffraction maxima, low angle first, 2θ = 15–90°:
2θ = 30.48°, I 35; 2θ = 33.61°, I 68; 2θ = 34.19°, I 100; 2θ = 41.69°, I 81; 2θ = 46.46°, I 40; 2θ = 54.58°, I 34


Theoretical powder diffraction line list of LaAsIr for Cu Kα, 1.54184 Å, from a crystal structure in the Materials Project, relaxed with PBE.
Kinematic intensities with the Lorentz-polarization factor, no thermal factor.

Unit cell a=8.066 b=8.066 c=8.066 alpha=149.51 beta=149.51 gamma=43.65
Fractional coordinates of all 6 atoms:
1 La 0.000 0.000 0.000
2 La 0.750 0.250 0.500
3 As 0.327 0.827 0.500
4 As 0.577 0.577 0.000
5 Ir 0.162 0.662 0.500
6 Ir 0.412 0.412 0.000

Largest 6 diffraction maxima, low angle first, 2θ = 15–90°:
2θ = 27.60°, I 31; 2θ = 32.15°, I 100; 2θ = 36.74°, I 60; 2θ = 42.64°, I 46; 2θ = 47.61°, I 28; 2θ = 57.51°, I 33


Theoretical powder diffraction line list of Mg4As6Ir7 for Cu Kα, 1.54184 Å, from a crystal structure in the Materials Project, relaxed with PBE.
Kinematic intensities with the Lorentz-polarization factor, no thermal factor.

Unit cell a=7.091 b=7.091 c=7.091 alpha=109.47 beta=109.47 gamma=109.47
Fractional coordinates of all 17 atoms:
1 Mg 0.000 0.000 0.500
2 Mg 0.000 0.500 0.000
3 Mg 0.500 0.000 0.000
4 Mg 0.500 0.500 0.500
5 As 0.000 0.314 0.314
6 As 0.000 0.686 0.686
7 As 0.314 0.000 0.314
8 As 0.314 0.314 0.000
9 As 0.686 0.000 0.686
10 As 0.686 0.686 0.000
11 Ir 0.000 0.000 0.000
12 Ir 0.250 0.500 0.750
13 Ir 0.250 0.750 0.500
14 Ir 0.500 0.250 0.750
15 Ir 0.500 0.750 0.250
16 Ir 0.750 0.250 0.500
17 Ir 0.750 0.500 0.250

Largest 6 diffraction maxima, low angle first, 2θ = 15–90°:
2θ = 21.71°, I 74; 2θ = 26.67°, I 45; 2θ = 38.07°, I 100; 2θ = 41.26°, I 76; 2θ = 44.25°, I 78; 2θ = 64.37°, I 43


Theoretical powder diffraction line list of RbAs2Ir2 for Cu Kα, 1.54184 Å, from a crystal structure in the Materials Project, relaxed with PBE.
Kinematic intensities with the Lorentz-polarization factor, no thermal factor.

Unit cell a=7.604 b=7.604 c=7.604 alpha=149.02 beta=149.02 gamma=44.38
Fractional coordinates of all 5 atoms:
1 Rb 0.000 0.000 0.000
2 As 0.350 0.350 0.000
3 As 0.650 0.650 0.000
4 Ir 0.250 0.750 0.500
5 Ir 0.750 0.250 0.500

Largest 6 diffraction maxima, low angle first, 2θ = 15–90°:
2θ = 25.30°, I 34; 2θ = 29.07°, I 47; 2θ = 33.70°, I 100; 2θ = 40.54°, I 61; 2θ = 44.62°, I 51; 2θ = 50.20°, I 66


Theoretical powder diffraction line list of AsIrS for Cu Kα, 1.54184 Å, from a crystal structure in the Materials Project, relaxed with PBE.
Kinematic intensities with the Lorentz-polarization factor, no thermal factor.

Unit cell a=5.851 b=5.851 c=5.851 alpha=90.00 beta=90.00 gamma=90.00
Fractional coordinates of all 12 atoms:
1 As 0.117 0.117 0.117
2 As 0.383 0.883 0.617
3 As 0.617 0.383 0.883
4 As 0.883 0.617 0.383
5 Ir 0.004 0.504 0.996
6 Ir 0.496 0.496 0.496
7 Ir 0.504 0.996 0.004
8 Ir 0.996 0.004 0.504
9 S 0.114 0.386 0.614
10 S 0.386 0.614 0.114
11 S 0.614 0.114 0.386
12 S 0.886 0.886 0.886

Largest 6 diffraction maxima, low angle first, 2θ = 15–90°:
2θ = 26.38°, I 84; 2θ = 30.56°, I 87; 2θ = 43.76°, I 59; 2θ = 51.83°, I 100; 2θ = 72.21°, I 23; 2θ = 86.42°, I 35


Theoretical powder diffraction line list of SbAsIr for Cu Kα, 1.54184 Å, from a crystal structure in the Materials Project, relaxed with PBE.
Kinematic intensities with the Lorentz-polarization factor, no thermal factor.

Unit cell a=6.403 b=6.399 c=6.554 alpha=90.00 beta=114.09 gamma=90.00
Fractional coordinates of all 12 atoms:
1 Sb 0.164 0.131 0.316
2 Sb 0.164 0.369 0.816
3 Sb 0.836 0.631 0.184
4 Sb 0.836 0.869 0.684
5 As 0.350 0.632 0.617
6 As 0.350 0.868 0.117
7 As 0.650 0.132 0.883
8 As 0.650 0.368 0.383
9 Ir 0.242 0.510 0.214
10 Ir 0.242 0.990 0.714
11 Ir 0.758 0.010 0.286
12 Ir 0.758 0.490 0.786

Largest 6 diffraction maxima, low angle first, 2θ = 15–90°:
2θ = 21.45°, I 100; 2θ = 29.87°, I 76; 2θ = 30.59°, I 87; 2θ = 44.93°, I 63; 2θ = 45.66°, I 78; 2θ = 49.99°, I 68


Theoretical powder diffraction line list of TeAsIr for Cu Kα, 1.54184 Å, from a crystal structure in the Materials Project, relaxed with PBE.
Kinematic intensities with the Lorentz-polarization factor, no thermal factor.

Unit cell a=6.247 b=6.247 c=6.247 alpha=90.00 beta=90.00 gamma=90.00
Fractional coordinates of all 12 atoms:
1 Te 0.121 0.379 0.621
2 Te 0.379 0.621 0.121
3 Te 0.621 0.121 0.379
4 Te 0.879 0.879 0.879
5 As 0.123 0.123 0.123
6 As 0.377 0.877 0.623
7 As 0.623 0.377 0.877
8 As 0.877 0.623 0.377
9 Ir 0.011 0.989 0.489
10 Ir 0.489 0.011 0.989
11 Ir 0.511 0.511 0.511
12 Ir 0.989 0.489 0.011

Largest 6 diffraction maxima, low angle first, 2θ = 15–90°:
2θ = 24.69°, I 39; 2θ = 28.58°, I 61; 2θ = 32.04°, I 55; 2θ = 35.19°, I 40; 2θ = 40.86°, I 43; 2θ = 48.32°, I 100